Record 1
KVOF4: calculated X-ray diffraction stick pattern (λ = 1.5418 Å (Cu Kα)), based on a crystal structure in the Materials Project, relaxed with GGA+U.
Intensities are scaled so that the largest is 100.

Peak list (8 most intense, 2θ = 5–70°, sorted by position)
- 2θ 16.91, I 52, (1 1 0)
- 2θ 22.08, I 37, (1 1 -1)
- 2θ 24.70, I 93, (1 2 -1)
- 2θ 25.44, I 56, (0 4 0)
- 2θ 26.72, I 100, (1 2 1)
- 2θ 31.64, I 30, (2 0 0)
- 2θ 39.41, I 41, (1 3 -2)
- 2θ 41.03, I 46, (2 4 0)

a b c (Å): 5.685 14.002 5.642
angles (deg): 90.00 95.85 90.00
Space group P2_1/c (No. 14)
Asymmetric unit:
K: 0.231 0.123 0.046 x4
V: 0.284 0.646 0.944 x4
O: 0.201 0.586 0.165 x4
F: 0.020 0.717 0.847 x4
F: 0.204 0.566 0.690 x4
F: 0.409 0.108 0.563 x4
F: 0.414 0.745 0.604 x4

***

Record 2
Fe3O4F2: calculated X-ray diffraction stick pattern (λ = 1.5418 Å (Cu Kα)), based on a crystal structure in the Materials Project, relaxed with GGA+U.
Intensities are scaled so that the largest is 100.

Peak list (8 most intense, 2θ = 5–70°, sorted by position)
- 2θ 26.58, I 97, (0 0 6)
- 2θ 26.84, I 99, (0 2 0)
- 2θ 35.22, I 100, (1 1 3)
- 2θ 38.14, I 19, (0 2 6)
- 2θ 52.74, I 55, (1 1 9)
- 2θ 53.03, I 60, (1 3 3)
- 2θ 55.32, I 17, (0 4 0)
- 2θ 67.05, I 40, (1 3 9)

a b c (Å): 3.027 6.642 20.119
angles (deg): 90.00 90.00 90.00
Space group Amm2 (No. 38)
Asymmetric unit:
Fe: 0.000 0.000 0.000 x2
Fe: 0.000 0.000 0.318 x2
Fe: 0.000 0.000 0.659 x2
Fe: 0.500 0.000 0.159 x2
Fe: 0.500 0.000 0.497 x2
Fe: 0.500 0.000 0.819 x2
O: 0.000 0.192 0.494 x4
O: 0.000 0.193 0.823 x4
O: 0.500 0.000 0.062 x2
O: 0.500 0.000 0.254 x2
O: 0.500 0.000 0.597 x2
O: 0.500 0.000 0.718 x2
F: 0.000 0.194 0.158 x4
F: 0.500 0.000 0.389 x2
F: 0.500 0.000 0.930 x2

***

Record 3
Be2CoN2O6F8: calculated X-ray diffraction stick pattern (λ = 1.5418 Å (Cu Kα)), based on a crystal structure in the Materials Project, relaxed with GGA+U.
Intensities are scaled so that the largest is 100.

Peak list (8 most intense, 2θ = 5–70°, sorted by position)
- 2θ 12.74, I 68, (0 1 1)
- 2θ 14.12, I 46, (0 2 0)
- 2θ 18.31, I 49, (1 1 -1)
- 2θ 20.46, I 45, (1 2 0)
- 2θ 20.68, I 60, (1 1 1)
- 2θ 23.80, I 100, (0 3 1)
- 2θ 24.11, I 86, (1 0 -2)
- 2θ 25.65, I 28, (0 2 2)

a b c (Å): 6.076 12.549 8.431
angles (deg): 90.00 98.40 90.00
Space group P2_1/c (No. 14)
Asymmetric unit:
Be: 0.217 0.113 0.079 x4
Co: 0.000 0.000 0.500 x2
N: 0.464 0.670 0.625 x4
O: 0.104 0.594 0.872 x4
O: 0.151 0.590 0.138 x4
O: 0.279 0.042 0.502 x4
F: 0.010 0.165 0.073 x4
F: 0.303 0.137 0.888 x4
F: 0.375 0.050 0.177 x4
F: 0.488 0.706 0.775 x4

***

Record 4
Li3Mn4NiO8: calculated X-ray diffraction stick pattern (λ = 1.5418 Å (Cu Kα)), based on a crystal structure in the Materials Project, relaxed with GGA+U.
Intensities are scaled so that the largest is 100.

Peak list (8 most intense, 2θ = 5–70°, sorted by position)
- 2θ 18.02, I 100, (0 0 1)
- 2θ 34.73, I 34, (2 2 -1)
- 2θ 36.61, I 37, (4 0 -2)
- 2θ 42.07, I 97, (2 2 -2)
- 2θ 43.32, I 44, (4 0 0)
- 2θ 61.02, I 27, (0 4 0)
- 2θ 61.85, I 25, (2 2 2)
- 2θ 62.09, I 25, (6 2 -2)

a b c (Å): 10.307 6.072 6.077
angles (deg): 90.00 125.84 90.00
Space group C2/m (No. 12)
Asymmetric unit:
Li: 0.000 0.000 0.000 x2
Li: 0.250 0.250 0.000 x4
Mn: 0.000 0.000 0.500 x2
Mn: 0.000 0.500 0.000 x2
Mn: 0.250 0.250 0.500 x4
Ni: 0.000 0.500 0.500 x2
O: 0.013 0.252 0.267 x8
O: 0.246 0.500 0.224 x4
O: 0.249 0.500 0.709 x4

***

Record 5
Li2Cr3FeO8: calculated X-ray diffraction stick pattern (λ = 1.5418 Å (Cu Kα)), based on a crystal structure in the Materials Project, relaxed with GGA+U.
Intensities are scaled so that the largest is 100.

Peak list (8 most intense, 2θ = 5–70°, sorted by position)
- 2θ 18.27, I 100, (1 1 -1)
- 2θ 18.36, I 30, (1 1 1)
- 2θ 35.38, I 25, (1 -1 3)
- 2θ 35.48, I 30, (1 3 1)
- 2θ 43.03, I 48, (0 0 4)
- 2θ 43.18, I 24, (4 0 0)
- 2θ 62.50, I 14, (4 -4 0)
- 2θ 62.63, I 14, (4 0 4)

a b c (Å): 8.380 8.400 8.417
angles (deg): 90.26 90.09 90.23
Space group P1 (No. 1)
Asymmetric unit:
Li: 0.000 0.000 0.000 x1
Li: 0.000 0.495 0.499 x1
Li: 0.248 0.244 0.747 x1
Li: 0.248 0.745 0.251 x1
Li: 0.497 0.998 0.503 x1
Li: 0.502 0.498 0.002 x1
Li: 0.747 0.746 0.749 x1
Li: 0.750 0.251 0.249 x1
Cr: 0.122 0.125 0.375 x1
Cr: 0.122 0.372 0.128 x1
Cr: 0.125 0.871 0.623 x1
Cr: 0.372 0.619 0.626 x1
Cr: 0.374 0.372 0.377 x1
Cr: 0.374 0.868 0.874 x1
Cr: 0.623 0.875 0.124 x1
Cr: 0.624 0.124 0.875 x1
Cr: 0.627 0.618 0.373 x1
Cr: 0.873 0.373 0.874 x1
Cr: 0.875 0.621 0.126 x1
Cr: 0.876 0.126 0.619 x1
Fe: 0.122 0.624 0.871 x1
Fe: 0.374 0.122 0.127 x1
Fe: 0.626 0.372 0.623 x1
Fe: 0.874 0.873 0.374 x1
O: 0.102 0.383 0.887 x1
O: 0.102 0.612 0.113 x1
O: 0.106 0.886 0.382 x1
O: 0.115 0.110 0.602 x1
O: 0.134 0.133 0.147 x1
O: 0.135 0.632 0.639 x1
O: 0.138 0.359 0.365 x1
O: 0.144 0.865 0.863 x1
O: 0.356 0.138 0.370 x1
O: 0.364 0.361 0.148 x1
O: 0.364 0.857 0.639 x1
O: 0.366 0.641 0.865 x1
O: 0.383 0.102 0.889 x1
O: 0.385 0.376 0.606 x1
O: 0.388 0.600 0.385 x1
O: 0.396 0.877 0.115 x1
O: 0.607 0.884 0.888 x1
O: 0.610 0.381 0.383 x1
O: 0.614 0.600 0.612 x1
O: 0.619 0.101 0.114 x1
O: 0.636 0.144 0.636 x1
O: 0.642 0.365 0.866 x1
O: 0.642 0.642 0.134 x1
O: 0.642 0.858 0.364 x1
O: 0.858 0.860 0.138 x1
O: 0.864 0.364 0.639 x1
O: 0.865 0.143 0.858 x1
O: 0.867 0.628 0.353 x1
O: 0.876 0.606 0.894 x1
O: 0.881 0.890 0.606 x1
O: 0.883 0.387 0.110 x1
O: 0.892 0.118 0.381 x1

***

Record 6
CaLaMn2O6: calculated X-ray diffraction stick pattern (λ = 1.5418 Å (Cu Kα)), based on a crystal structure in the Materials Project, relaxed with GGA+U.
Intensities are scaled so that the largest is 100.

Peak list (8 most intense, 2θ = 5–70°, sorted by position)
- 2θ 14.05, I 44, (0 1 1)
- 2θ 21.38, I 42, (1 1 -1)
- 2θ 32.39, I 96, (0 0 4)
- 2θ 32.65, I 99, (1 2 -2)
- 2θ 32.76, I 100, (1 2 2)
- 2θ 57.88, I 40, (3 2 -2)
- 2θ 58.08, I 39, (3 2 2)
- 2θ 58.57, I 41, (0 4 4)

a b c (Å): 5.527 7.673 11.058
angles (deg): 90.00 90.37 90.00
Space group Pm (No. 6)
Asymmetric unit:
Ca: 0.000 0.000 0.000 x1
Ca: 0.022 0.500 0.536 x1
Ca: 0.491 0.500 0.286 x1
Ca: 0.531 0.000 0.754 x1
La: 0.010 0.000 0.507 x1
La: 0.018 0.500 0.029 x1
La: 0.509 0.000 0.253 x1
La: 0.519 0.500 0.775 x1
Mn: 0.004 0.256 0.269 x2
Mn: 0.021 0.245 0.767 x2
Mn: 0.512 0.254 0.517 x2
Mn: 0.513 0.247 0.017 x2
O: 0.074 0.000 0.280 x1
O: 0.103 0.000 0.773 x1
O: 0.220 0.290 0.406 x2
O: 0.248 0.294 0.904 x2
O: 0.278 0.289 0.160 x2
O: 0.297 0.285 0.654 x2
O: 0.427 0.000 0.023 x1
O: 0.447 0.000 0.520 x1
O: 0.583 0.500 0.012 x1
O: 0.593 0.500 0.514 x1
O: 0.727 0.211 0.378 x2
O: 0.749 0.215 0.878 x2
O: 0.784 0.204 0.127 x2
O: 0.798 0.213 0.633 x2
O: 0.917 0.500 0.253 x1
O: 0.956 0.500 0.762 x1

***

Record 7
Li9Mn2Co5O16: calculated X-ray diffraction stick pattern (λ = 1.5418 Å (Cu Kα)), based on a crystal structure in the Materials Project, relaxed with GGA+U.
Intensities are scaled so that the largest is 100.

Peak list (8 most intense, 2θ = 5–70°, sorted by position)
- 2θ 5.73, I 17, (0 0 1)
- 2θ 18.34, I 100, (0 1 -2)
- 2θ 34.88, I 18, (1 1 3)
- 2θ 36.35, I 25, (1 0 -3)
- 2θ 41.89, I 32, (1 0 5)
- 2θ 44.24, I 53, (1 1 -5)
- 2θ 62.26, I 8, (0 1 -10)
- 2θ 62.59, I 15, (1 -3 3)

a b c (Å): 2.963 6.491 15.455
angles (deg): 88.05 87.05 77.06
Space group P1 (No. 1)
Asymmetric unit:
Li: 0.000 0.000 0.000 x1
Li: 0.027 0.888 0.177 x1
Li: 0.173 0.629 0.560 x1
Li: 0.284 0.383 0.932 x1
Li: 0.423 0.131 0.311 x1
Li: 0.547 0.888 0.684 x1
Li: 0.659 0.650 0.057 x1
Li: 0.793 0.387 0.433 x1
Li: 0.927 0.126 0.809 x1
Mn: 0.360 0.247 0.117 x1
Mn: 0.473 0.013 0.497 x1
Co: 0.100 0.763 0.370 x1
Co: 0.235 0.512 0.747 x1
Co: 0.603 0.767 0.876 x1
Co: 0.719 0.511 0.244 x1
Co: 0.863 0.263 0.623 x1
O: 0.036 0.965 0.591 x1
O: 0.048 0.802 0.780 x1
O: 0.166 0.698 0.957 x1
O: 0.191 0.554 0.158 x1
O: 0.262 0.456 0.332 x1
O: 0.301 0.312 0.532 x1
O: 0.419 0.217 0.713 x1
O: 0.464 0.037 0.895 x1
O: 0.505 0.965 0.092 x1
O: 0.574 0.813 0.284 x1
O: 0.630 0.712 0.461 x1
O: 0.725 0.554 0.655 x1
O: 0.742 0.471 0.839 x1
O: 0.843 0.316 0.038 x1
O: 0.862 0.206 0.203 x1
O: 0.905 0.068 0.405 x1

***

Record 8
Li4Mn8O9F7: calculated X-ray diffraction stick pattern (λ = 1.5418 Å (Cu Kα)), based on a crystal structure in the Materials Project, relaxed with GGA+U.
Intensities are scaled so that the largest is 100.

Peak list (8 most intense, 2θ = 5–70°, sorted by position)
- 2θ 17.01, I 63, (0 0 2)
- 2θ 17.13, I 54, (0 1 1)
- 2θ 18.06, I 100, (1 1 0)
- 2θ 33.56, I 26, (-1 1 2)
- 2θ 39.69, I 55, (0 2 -2)
- 2θ 41.91, I 46, (2 0 -2)
- 2θ 42.28, I 45, (2 2 4)
- 2θ 59.09, I 44, (2 -2 0)

a b c (Å): 5.842 6.222 10.939
angles (deg): 75.13 74.83 62.49
Space group P1 (No. 1)
Asymmetric unit:
Li: 0.000 0.000 0.000 x1
Li: 0.092 0.229 0.598 x1
Li: 0.498 0.505 0.498 x1
Li: 0.619 0.710 0.105 x1
Mn: 0.039 0.135 0.291 x1
Mn: 0.045 0.613 0.294 x1
Mn: 0.050 0.613 0.797 x1
Mn: 0.285 0.374 0.051 x1
Mn: 0.546 0.118 0.298 x1
Mn: 0.547 0.113 0.801 x1
Mn: 0.550 0.612 0.798 x1
Mn: 0.797 0.866 0.548 x1
O: 0.180 0.270 0.388 x1
O: 0.207 0.690 0.908 x1
O: 0.389 0.039 0.189 x1
O: 0.410 0.481 0.704 x1
O: 0.690 0.743 0.891 x1
O: 0.707 0.190 0.409 x1
O: 0.891 0.541 0.684 x1
O: 0.914 0.964 0.210 x1
O: 0.940 0.509 0.181 x1
F: 0.172 0.219 0.929 x1
F: 0.175 0.706 0.419 x1
F: 0.414 0.009 0.665 x1
F: 0.441 0.498 0.171 x1
F: 0.664 0.730 0.430 x1
F: 0.675 0.222 0.934 x1
F: 0.922 0.009 0.666 x1